[1]
Starting from a DFT-relaxed cell (PBE+U, the Materials Project), the XRD peak list of Co3O2F4 was calculated for Cu Kα.
No peak broadening, texture or thermal motion is included.

abc: 4.6885 4.7011 9.2728
angles: 90.00 90.81 90.00
Fractional positions:
1 Co 0.2075 0.0000 0.4229
2 Co 0.2627 0.0315 0.7568
3 Co 0.2776 0.0668 0.0794
4 Co 0.7224 0.5668 0.9206
5 Co 0.7373 0.5315 0.2432
6 Co 0.7925 0.5000 0.5771
7 O 0.0571 0.2229 0.5879
8 O 0.4380 0.8723 0.9055
9 O 0.5620 0.3723 0.0945
10 O 0.9429 0.7229 0.4121
11 F 0.0428 0.2665 0.9107
12 F 0.0631 0.2408 0.2572
13 F 0.4507 0.8566 0.2591
14 F 0.4551 0.8263 0.5807
15 F 0.5449 0.3263 0.4193
16 F 0.5493 0.3566 0.7409
17 F 0.9369 0.7408 0.7428
18 F 0.9572 0.7665 0.0893

Peak list (10 most intense, 10 to 90 degrees two-theta, by angle)
- 2θ 26.86, I = 100
- 2θ 34.53, I = 15
- 2θ 34.74, I = 29
- 2θ 35.00, I = 14
- 2θ 52.41, I = 14
- 2θ 52.51, I = 14
- 2θ 52.84, I = 15
- 2θ 53.07, I = 15
- 2θ 55.35, I = 17
- 2θ 59.85, I = 11


[2]
Starting from a DFT-relaxed cell (PBE+U, the Materials Project), the XRD peak list of Ba3MgMn2O8 was calculated for Cu Kα.
No peak broadening, texture or thermal motion is included.

abc: 8.3633 8.3633 8.3633
angles: 40.76 40.76 40.76
Fractional positions:
1 Ba 0.0000 0.0000 0.0000
2 Ba 0.2064 0.2064 0.2064
3 Ba 0.7936 0.7936 0.7936
4 Mg 0.5000 0.5000 0.5000
5 Mn 0.3933 0.3933 0.3933
6 Mn 0.6067 0.6067 0.6067
7 O 0.2582 0.7152 0.7152
8 O 0.2848 0.2848 0.7418
9 O 0.2848 0.7418 0.2848
10 O 0.3165 0.3165 0.3165
11 O 0.6835 0.6835 0.6835
12 O 0.7152 0.2582 0.7152
13 O 0.7152 0.7152 0.2582
14 O 0.7418 0.2848 0.2848

Peak list (10 most intense, 10 to 90 degrees two-theta, by angle)
- 2θ 23.47, I = 15
- 2θ 26.24, I = 97
- 2θ 30.70, I = 100
- 2θ 40.81, I = 40
- 2θ 43.28, I = 35
- 2θ 51.92, I = 27
- 2θ 53.99, I = 17
- 2θ 54.58, I = 19
- 2θ 63.40, I = 24
- 2θ 63.93, I = 16


[3]
Starting from a DFT-relaxed cell (PBE+U, the Materials Project), the XRD peak list of MgMn4Zn2O8 was calculated for Cu Kα.
No peak broadening, texture or thermal motion is included.

abc: 6.0816 6.0834 6.3329
angles: 117.29 92.11 118.84
Fractional positions:
1 Mg 0.0000 0.0000 0.0000
2 Mn 0.0023 0.5023 0.9992
3 Mn 0.5024 0.0038 0.0008
4 Mn 0.5018 0.5024 0.9997
5 Mn 0.5049 0.0069 0.5002
6 Zn 0.1499 0.3246 0.4605
7 Zn 0.8641 0.6948 0.5391
8 O 0.2272 0.4881 0.2231
9 O 0.2429 0.0223 0.2606
10 O 0.2627 0.5648 0.8197
11 O 0.2640 0.0054 0.7773
12 O 0.7415 0.0020 0.2231
13 O 0.7432 0.4427 0.1805
14 O 0.7626 0.9864 0.7406
15 O 0.7791 0.5196 0.7766

Peak list (10 most intense, 10 to 90 degrees two-theta, by angle)
- 2θ 28.85, I = 23
- 2θ 29.39, I = 41
- 2θ 33.51, I = 100
- 2θ 33.76, I = 35
- 2θ 34.02, I = 43
- 2θ 34.47, I = 45
- 2θ 34.96, I = 23
- 2θ 40.38, I = 46
- 2θ 59.77, I = 23
- 2θ 60.98, I = 41


[4]
Starting from a DFT-relaxed cell (PBE+U, the Materials Project), the XRD peak list of KMnF3 was calculated for Cu Kα.
No peak broadening, texture or thermal motion is included.

abc: 6.0230 6.0230 8.5380
angles: 90.00 90.00 90.00
Fractional positions:
1 K 0.0000 0.5000 0.2479
2 K 0.0000 0.5000 0.7521
3 K 0.5000 0.0000 0.2479
4 K 0.5000 0.0000 0.7521
5 Mn 0.0000 0.0000 0.0000
6 Mn 0.0000 0.0000 0.5000
7 Mn 0.5000 0.5000 0.0000
8 Mn 0.5000 0.5000 0.5000
9 F 0.0000 0.0000 0.2499
10 F 0.0000 0.0000 0.7501
11 F 0.2258 0.2742 0.5000
12 F 0.2501 0.2499 0.0000
13 F 0.2499 0.7499 0.0000
14 F 0.2742 0.7742 0.5000
15 F 0.5000 0.5000 0.2499
16 F 0.5000 0.5000 0.7501
17 F 0.7258 0.2258 0.5000
18 F 0.7501 0.2501 0.0000
19 F 0.7499 0.7501 0.0000
20 F 0.7742 0.7258 0.5000

Peak list (10 most intense, 10 to 90 degrees two-theta, by angle)
- 2θ 20.84, I = 26
- 2θ 29.64, I = 100
- 2θ 36.51, I = 11
- 2θ 42.34, I = 24
- 2θ 42.45, I = 46
- 2θ 47.71, I = 10
- 2θ 52.60, I = 37
- 2θ 61.54, I = 38
- 2θ 77.59, I = 11
- 2θ 85.15, I = 12